Simulated powder X-ray diffraction pattern
Compound: AcWO5
Radiation: a wavelength of 1.5418 Å
Structure: the GGA+U geometry in Alexandria
Kinematic intensities with the Lorentz-polarization factor, no thermal factor.

Peak list (8 most intense, 5° ≤ 2θ ≤ 70°, low angle first)
h k l, Position (°2θ), I (rel.)
0 0 2, 20.3, 60
0 2 0, 25.7, 100
0 2 2, 33.0, 75
2 0 0, 45.3, 26
0 2 4, 49.3, 33
2 0 2, 50.1, 30
0 4 2, 57.1, 19
2 0 4, 62.9, 18

Crystal structure
abc: 4.0011 6.9455 8.7450
angles: 90.00 90.00 90.00
Space group Immm (No. 71)
One atom of each set of equivalent atoms:
Ac 0.0000 0.0000 0.0000 (multiplicity 2)
W 0.0000 0.0000 0.5000 (multiplicity 2)
O 0.0000 0.0000 0.2826 (multiplicity 4)
O 0.0000 0.2795 0.5000 (multiplicity 4)
O 0.0000 0.5000 0.0000 (multiplicity 2)